Diffraction record for Sr3AlCr3O8. The X-ray diffraction stick pattern is theoretical, not measured: it uses DFT lattice parameters and positions (GGA+U) and Cu Kα (weighted mean of Kα1 and Kα2).

Peak list (10 most intense, 10 to 90 degrees two-theta, by angle)
two_theta	Rel. int.
17.7	15
19.7	26
32.3	37
32.5	33
34.1	54
35.8	68
39.9	100
54.6	33
54.8	35
71.8	15

Structural model:
```
data_Sr3AlCr3O8
_chemical_formula_sum 'Sr6 Al2 Cr6 O16'
_symmetry_space_group_name_H-M 'C 1 2/m 1'
_symmetry_Int_Tables_number 12
_symmetry_space_group_name_Hall '-C 2y'
_cell_length_a 12.0010
_cell_length_b 6.1675
_cell_length_c 6.6240
_cell_angle_alpha 90.00
_cell_angle_beta 123.17
_cell_angle_gamma 90.00
loop_
_atom_site_label
_atom_site_fract_x
_atom_site_fract_y
_atom_site_fract_z
Sr1 0.0000 0.0000 0.0000
Sr2 0.2500 0.2500 0.0000
Al1 0.0000 0.0000 0.5000
Cr1 0.0000 0.5000 0.5000
Cr2 0.2500 0.2500 0.5000
O1 0.0110 0.2364 0.7078
O2 0.2061 0.0000 0.6645
O3 0.2222 0.5000 0.6847
```